The following is a simulated powder diffraction line list of Nd4ZnIn3. It was derived from a cell relaxed with PBE, using Cu Kα X-rays.
Intensities are scaled so that the largest is 100.

Cell and atoms:
Cell: 3.736 3.736 16.120 Å, 90.00 90.00 90.00°
Sites, in units of the cell vectors:
Nd  0.000  0.000  0.111
Nd  0.000  0.000  0.370
Nd  0.000  0.000  0.630
Nd  0.000  0.000  0.889
Zn  0.500  0.500  0.000
In  0.500  0.500  0.239
In  0.500  0.500  0.500
In  0.500  0.500  0.761

Principal peaks in the range 10 to 90 degrees two-theta, by angle:
Position (°2θ), d [Å], I (rel.)
32.7, 2.740, 100
33.9, 2.642, 48
45.0, 2.015, 8
48.8, 1.868, 17
57.5, 1.602, 16
59.9, 1.543, 34
68.5, 1.370, 9
71.4, 1.321, 5
75.2, 1.264, 5
80.8, 1.190, 7
81.5, 1.181, 8
88.5, 1.105, 5

The following is a simulated powder diffraction line list of Nd12Zn2In5. It was derived from a cell relaxed with PBE, using Cu Kα X-rays.
Intensities are scaled so that the largest is 100.

Cell and atoms:
Cell: 9.563 9.563 9.271 Å, 96.01 96.01 44.79°
Sites, in units of the cell vectors:
Nd  0.001  0.001  0.195
Nd  0.093  0.587  0.560
Nd  0.099  0.593  0.989
Nd  0.407  0.901  0.011
Nd  0.413  0.907  0.440
Nd  0.467  0.467  0.317
Nd  0.533  0.533  0.683
Nd  0.587  0.093  0.560
Nd  0.593  0.099  0.989
Nd  0.901  0.407  0.011
Nd  0.907  0.413  0.440
Nd  0.999  0.999  0.805
Zn  0.166  0.834  0.500
Zn  0.834  0.166  0.500
In  0.205  0.205  0.743
In  0.274  0.274  0.253
In  0.500  0.500  0.000
In  0.726  0.726  0.747
In  0.795  0.795  0.257

Principal peaks in the range 10 to 90 degrees two-theta, by angle:
Position (°2θ), d [Å], I (rel.)
26.5, 3.369, 29
28.6, 3.118, 19
29.7, 3.012, 45
30.5, 2.928, 41
31.3, 2.858, 100
31.9, 2.804, 88
32.3, 2.775, 19
33.7, 2.661, 26
34.4, 2.608, 20
45.9, 1.977, 18
50.1, 1.822, 20
59.3, 1.559, 20

The following is a simulated powder diffraction line list of Nd5ZnIn2. It was derived from a cell relaxed with PBE, using Cu Kα X-rays.
Intensities are scaled so that the largest is 100.

Cell and atoms:
Cell: 6.070 6.070 17.920 Å, 90.00 90.00 134.84°
Sites, in units of the cell vectors:
Nd  0.045  0.955  0.602
Nd  0.045  0.955  0.898
Nd  0.340  0.660  0.542
Nd  0.340  0.660  0.958
Nd  0.448  0.552  0.750
Nd  0.552  0.448  0.250
Nd  0.660  0.340  0.042
Nd  0.660  0.340  0.458
Nd  0.955  0.045  0.102
Nd  0.955  0.045  0.398
Zn  0.165  0.835  0.750
Zn  0.835  0.165  0.250
In  0.251  0.749  0.160
In  0.251  0.749  0.340
In  0.749  0.251  0.660
In  0.749  0.251  0.840

Principal peaks in the range 10 to 90 degrees two-theta, by angle:
Position (°2θ), d [Å], I (rel.)
28.8, 3.104, 72
30.7, 2.916, 20
31.1, 2.878, 75
32.3, 2.773, 66
32.5, 2.754, 100
34.0, 2.636, 34
35.4, 2.537, 46
38.6, 2.331, 66
52.4, 1.746, 20
53.4, 1.717, 28
58.2, 1.586, 38
65.9, 1.417, 21

The following is a simulated powder diffraction line list of In3Ni. It was derived from a cell relaxed with PBE, using Cu Kα X-rays.
Intensities are scaled so that the largest is 100.

Cell and atoms:
Cell: 6.946 6.946 7.288 Å, 90.00 90.00 90.00°
Sites, in units of the cell vectors:
In  0.000  0.500  0.000
In  0.000  0.500  0.500
In  0.156  0.156  0.242
In  0.156  0.156  0.758
In  0.344  0.656  0.258
In  0.344  0.656  0.742
In  0.500  0.000  0.000
In  0.500  0.000  0.500
In  0.656  0.344  0.258
In  0.656  0.344  0.742
In  0.844  0.844  0.242
In  0.844  0.844  0.758
Ni  0.150  0.850  0.000
Ni  0.350  0.350  0.500
Ni  0.650  0.650  0.500
Ni  0.850  0.150  0.000

Principal peaks in the range 10 to 90 degrees two-theta, by angle:
Position (°2θ), d [Å], I (rel.)
17.6, 5.028, 14
28.7, 3.106, 34
30.5, 2.927, 48
35.7, 2.514, 39
36.6, 2.456, 13
38.1, 2.364, 100
41.1, 2.197, 60
50.1, 1.822, 18
58.9, 1.568, 14
62.2, 1.493, 17
66.7, 1.402, 27
78.7, 1.216, 16

The following is a simulated powder diffraction line list of In5Ni. It was derived from a cell relaxed with PBE, using Cu Kα X-rays.
Intensities are scaled so that the largest is 100.

Cell and atoms:
Cell: 3.179 3.179 13.910 Å, 90.00 90.00 90.00°
Sites, in units of the cell vectors:
In  0.000  0.000  0.000
In  0.000  0.000  0.384
In  0.000  0.000  0.616
In  0.500  0.500  0.194
In  0.500  0.500  0.806
Ni  0.500  0.500  0.500

Principal peaks in the range 10 to 90 degrees two-theta, by angle:
Position (°2θ), d [Å], I (rel.)
30.9, 2.891, 32
32.2, 2.782, 26
34.2, 2.622, 100
38.4, 2.346, 12
40.1, 2.248, 50
52.3, 1.748, 26
58.0, 1.590, 16
60.7, 1.525, 16
67.9, 1.380, 11
69.1, 1.359, 24
81.3, 1.183, 8
88.9, 1.101, 11

The following is a simulated powder diffraction line list of In3Ni. It was derived from a cell relaxed with PBE, using Cu Kα X-rays.
Intensities are scaled so that the largest is 100.

Cell and atoms:
Cell: 7.230 8.063 5.757 Å, 90.00 90.00 90.00°
Sites, in units of the cell vectors:
In  0.021  0.250  0.117
In  0.174  0.058  0.647
In  0.174  0.442  0.647
In  0.326  0.558  0.147
In  0.326  0.942  0.147
In  0.479  0.750  0.617
In  0.521  0.250  0.383
In  0.674  0.058  0.853
In  0.674  0.442  0.853
In  0.826  0.558  0.353
In  0.826  0.942  0.353
In  0.979  0.750  0.883
Ni  0.133  0.750  0.455
Ni  0.367  0.250  0.955
Ni  0.633  0.750  0.045
Ni  0.867  0.250  0.545

Principal peaks in the range 10 to 90 degrees two-theta, by angle:
Position (°2θ), d [Å], I (rel.)
29.7, 3.004, 31
31.3, 2.862, 44
33.3, 2.691, 59
33.5, 2.674, 48
35.4, 2.538, 72
36.9, 2.437, 100
39.0, 2.308, 51
40.5, 2.229, 40
40.6, 2.223, 57
41.9, 2.157, 30
60.8, 1.523, 36
61.8, 1.500, 29

The following is a simulated powder diffraction line list of InNi4. It was derived from a cell relaxed with PBE, using Cu Kα X-rays.
Intensities are scaled so that the largest is 100.

Cell and atoms:
Cell: 4.523 4.523 4.523 Å, 99.71 99.71 131.51°
Sites, in units of the cell vectors:
In  0.000  0.000  0.000
Ni  0.189  0.591  0.780
Ni  0.409  0.189  0.598
Ni  0.591  0.811  0.402
Ni  0.811  0.409  0.220

Principal peaks in the range 10 to 90 degrees two-theta, by angle:
Position (°2θ), d [Å], I (rel.)
21.6, 4.124, 2
28.5, 3.133, 6
30.7, 2.916, 5
42.3, 2.134, 100
49.0, 1.857, 16
49.4, 1.844, 31
62.6, 1.483, 2
71.4, 1.322, 2
72.2, 1.309, 19
72.5, 1.304, 9
87.1, 1.119, 11
87.7, 1.113, 21

The following is a simulated powder diffraction line list of In3Ni. It was derived from a cell relaxed with PBE, using Cu Kα X-rays.
Intensities are scaled so that the largest is 100.

Cell and atoms:
Cell: 3.167 4.945 6.600 Å, 68.53 89.24 71.48°
Sites, in units of the cell vectors:
In  0.000  0.000  0.000
In  0.156  0.646  0.704
In  0.339  0.298  0.352
Ni  0.616  0.748  0.355

Principal peaks in the range 10 to 90 degrees two-theta, by angle:
Position (°2θ), d [Å], I (rel.)
28.6, 3.116, 100
29.5, 3.029, 93
30.0, 2.983, 31
35.0, 2.564, 65
35.5, 2.528, 67
38.4, 2.344, 86
39.2, 2.300, 40
39.7, 2.269, 33
40.7, 2.219, 52
44.3, 2.046, 29
44.6, 2.034, 88
61.2, 1.515, 31

The following is a simulated powder diffraction line list of In5Ni. It was derived from a cell relaxed with PBE, using Cu Kα X-rays.
Intensities are scaled so that the largest is 100.

Cell and atoms:
Cell: 8.897 4.274 7.341 Å, 90.00 90.00 90.00°
Sites, in units of the cell vectors:
In  0.000  0.000  0.000
In  0.068  0.500  0.311
In  0.250  0.000  0.567
In  0.250  0.500  0.902
In  0.432  0.500  0.311
In  0.500  0.000  0.000
In  0.568  0.500  0.689
In  0.750  0.000  0.433
In  0.750  0.500  0.098
In  0.932  0.500  0.689
Ni  0.250  0.000  0.194
Ni  0.750  0.000  0.806

Principal peaks in the range 10 to 90 degrees two-theta, by angle:
Position (°2θ), d [Å], I (rel.)
31.5, 2.842, 100
32.1, 2.784, 29
32.6, 2.750, 25
33.7, 2.657, 63
38.1, 2.360, 48
39.0, 2.312, 44
40.6, 2.224, 15
42.1, 2.144, 26
42.3, 2.137, 37
54.4, 1.687, 14
61.2, 1.513, 16
61.9, 1.499, 15

The following is a simulated powder diffraction line list of In6Ni7. It was derived from a cell relaxed with PBE, using Cu Kα X-rays.
Intensities are scaled so that the largest is 100.

Cell and atoms:
Cell: 9.296 9.296 9.296 Å, 32.55 32.55 32.55°
Sites, in units of the cell vectors:
In  0.056  0.056  0.056
In  0.163  0.163  0.163
In  0.332  0.332  0.332
In  0.668  0.668  0.668
In  0.837  0.837  0.837
In  0.944  0.944  0.944
Ni  0.095  0.584  0.584
Ni  0.416  0.416  0.905
Ni  0.416  0.905  0.416
Ni  0.500  0.500  0.500
Ni  0.584  0.095  0.584
Ni  0.584  0.584  0.095
Ni  0.905  0.416  0.416

Principal peaks in the range 10 to 90 degrees two-theta, by angle:
Position (°2θ), d [Å], I (rel.)
33.7, 2.663, 31
34.4, 2.605, 100
39.6, 2.278, 40
40.1, 2.248, 39
40.2, 2.241, 92
41.0, 2.199, 31
42.7, 2.118, 25
43.6, 2.074, 31
46.6, 1.947, 22
46.9, 1.936, 26
72.6, 1.302, 34
74.2, 1.278, 39

The following is a simulated powder diffraction line list of NpInNi4. It was derived from a cell relaxed with PBE, using Cu Kα X-rays.
Intensities are scaled so that the largest is 100.

Cell and atoms:
Cell: 4.993 4.993 4.993 Å, 60.00 60.00 60.00°
Sites, in units of the cell vectors:
Np  0.000  0.000  0.000
In  0.750  0.750  0.750
Ni  0.376  0.376  0.376
Ni  0.376  0.376  0.873
Ni  0.376  0.873  0.376
Ni  0.873  0.376  0.376

Principal peaks in the range 10 to 90 degrees two-theta, by angle:
Position (°2θ), d [Å], I (rel.)
21.8, 4.076, 23
25.2, 3.530, 9
36.0, 2.496, 65
42.5, 2.129, 100
44.4, 2.038, 16
56.8, 1.620, 6
58.5, 1.579, 4
64.7, 1.441, 24
69.1, 1.359, 31
76.3, 1.248, 21
80.5, 1.193, 5
87.3, 1.116, 11

The following is a simulated powder diffraction line list of NpInNi5. It was derived from a cell relaxed with PBE, using Cu Kα X-rays.
Intensities are scaled so that the largest is 100.

Cell and atoms:
Cell: 8.055 4.866 10.276 Å, 90.00 90.00 90.00°
Sites, in units of the cell vectors:
Np  0.242  0.250  0.056
Np  0.258  0.750  0.556
Np  0.742  0.250  0.444
Np  0.758  0.750  0.944
In  0.134  0.250  0.360
In  0.366  0.750  0.860
In  0.634  0.250  0.140
In  0.866  0.750  0.640
Ni  0.053  0.250  0.605
Ni  0.069  0.501  0.813
Ni  0.069  0.999  0.813
Ni  0.092  0.750  0.018
Ni  0.186  0.750  0.243
Ni  0.314  0.250  0.743
Ni  0.408  0.250  0.518
Ni  0.431  0.001  0.313
Ni  0.431  0.499  0.313
Ni  0.447  0.750  0.105
Ni  0.553  0.250  0.895
Ni  0.569  0.501  0.687
Ni  0.569  0.999  0.687
Ni  0.592  0.750  0.482
Ni  0.686  0.750  0.257
Ni  0.814  0.250  0.757
Ni  0.908  0.250  0.982
Ni  0.931  0.001  0.187
Ni  0.931  0.499  0.187
Ni  0.947  0.750  0.395

Principal peaks in the range 10 to 90 degrees two-theta, by angle:
Position (°2θ), d [Å], I (rel.)
23.0, 3.860, 31
32.0, 2.801, 38
33.9, 2.646, 34
36.7, 2.448, 50
36.9, 2.433, 38
39.2, 2.300, 72
39.3, 2.292, 100
45.9, 1.978, 42
47.2, 1.926, 28
67.9, 1.380, 36
68.1, 1.376, 33
72.8, 1.299, 27